Starting from a DFT-relaxed cell (PBE, the Materials Project), the powder XRD pattern of NdPPd was simulated for copper Kα.

Atomic structure:
a b c (Å): 4.2435 4.2435 7.8627
angles (deg): 90.00 90.00 120.00
Space group P6_3/mmc (No. 194)
One atom of each set of equivalent atoms:
Nd1 0.0000 0.0000 0.0000 (multiplicity 2)
P1 0.3333 0.6667 0.2500 (multiplicity 2)
Pd1 0.3333 0.6667 0.7500 (multiplicity 2)

Principal peaks in the range 2θ from 10° to 90°, by intensity:
d_spacing, two_theta, intensity, hkl
2.685, 33.38, 100, 1 0 2
2.122, 42.61, 44, 1 1 0
1.442, 64.64, 25, 1 1 4
1.665, 55.18, 23, 2 0 2
1.310, 72.12, 21, 2 1 2
3.329, 26.78, 17, 1 0 1

=====

Starting from a DFT-relaxed cell (PBE, the Materials Project), the powder XRD pattern of ZrSn3 was simulated for copper Kα.

Atomic structure:
a b c (Å): 7.4201 7.4201 7.4201
angles (deg): 90.00 90.00 90.00
Space group Fm-3m (No. 225)
One atom of each set of equivalent atoms:
Zr1 0.0000 0.0000 0.0000 (multiplicity 4)
Sn1 0.0000 0.0000 0.5000 (multiplicity 4)
Sn2 0.2500 0.2500 0.2500 (multiplicity 8)

Principal peaks in the range 2θ from 10° to 90°, by intensity:
d_spacing, two_theta, intensity, hkl
2.623, 34.18, 100, 2 2 0
1.515, 61.19, 38, 4 2 2
1.855, 49.11, 18, 4 0 0
1.173, 82.16, 17, 6 2 0
1.312, 71.99, 12, 4 4 0
4.284, 20.73, 1, 1 1 1

=====

Starting from a DFT-relaxed cell (PBE, the Materials Project), the powder XRD pattern of Ca7Ge6 was simulated for copper Kα.

Atomic structure:
a b c (Å): 7.4406 22.4583 8.1104
angles (deg): 90.00 90.00 90.00
Space group Pnma (No. 62)
One atom of each set of equivalent atoms:
Ca1 0.0160 0.1628 0.1786 (multiplicity 8)
Ca2 0.1477 0.6437 0.3178 (multiplicity 8)
Ca3 0.1657 0.5187 0.6782 (multiplicity 8)
Ca4 0.1845 0.2500 0.5171 (multiplicity 4)
Ge1 0.0031 0.5548 0.0419 (multiplicity 8)
Ge2 0.0750 0.2500 0.8758 (multiplicity 4)
Ge3 0.1828 0.0979 0.4731 (multiplicity 8)
Ge4 0.1907 0.7500 0.6047 (multiplicity 4)

Principal peaks in the range 2θ from 10° to 90°, by intensity:
d_spacing, two_theta, intensity, hkl
2.790, 32.08, 100, 1 5 2
2.372, 37.94, 95, 3 0 1
4.423, 20.07, 90, 1 3 1
2.750, 32.55, 83, 0 6 2
2.897, 30.87, 71, 2 4 1
2.702, 33.16, 52, 2 5 1